Record 1
Theoretical XRD peak list
Compound: Tb2Sm3Tm5
Radiation: Cu Kα (λ = 1.5418 Å)
Structure: a cell relaxed with PBE
Peak positions follow from Bragg's law for the DFT cell and can differ from measured ones.

Crystal structure
```
Tb2Sm3Tm5
1.0
5.301 -7.887 0.000
5.301 7.887 0.000
-5.294 0.000 7.738
Tb Sm Tm
4 6 10
Cartesian
1.333 1.879 0.373
-1.314 -1.879 4.242
6.623 1.879 3.496
3.975 -1.879 7.365
1.339 1.942 3.500
3.978 3.682 1.935
-1.308 -1.942 7.369
6.616 1.942 0.369
1.331 -3.682 5.804
3.969 -1.942 4.238
1.331 7.457 5.804
-1.313 1.788 5.736
1.331 4.275 5.804
1.334 -1.788 1.867
3.978 0.412 1.935
1.331 -0.412 5.804
3.975 1.788 5.871
3.978 -4.275 1.935
6.622 -1.788 2.002
3.978 -7.457 1.935
```

Top 8 peaks for 2θ = 10–90°, low angle first:
| two_theta | intensity |
| --- | --- |
| 30.52 | 100 |
| 30.77 | 93 |
| 32.42 | 21 |
| 33.82 | 45 |
| 49.51 | 19 |
| 61.30 | 21 |
| 66.38 | 18 |
| 67.36 | 20 |

Record 2
Theoretical XRD peak list
Compound: Pr5Sc4Si4
Radiation: Cu Kα (λ = 1.5418 Å)
Structure: a cell relaxed with PBE
Peak positions follow from Bragg's law for the DFT cell and can differ from measured ones.

Crystal structure
```
Pr5Sc4Si4
1.0
-6.192 6.192 2.152
6.192 -6.192 2.152
6.192 6.192 -2.152
Pr Sc Si
5 4 4
Cartesian
0.000 0.000 0.000
4.596 3.701 0.000
2.491 -1.597 2.152
3.701 7.789 0.000
1.597 2.491 2.152
7.274 1.243 0.000
1.243 5.111 0.000
4.949 1.081 2.152
-1.081 4.949 2.152
3.127 0.793 0.000
5.399 -3.066 2.152
0.793 9.258 0.000
3.066 5.399 2.152
```

Top 8 peaks for 2θ = 10–90°, low angle first:
| two_theta | intensity |
| --- | --- |
| 26.22 | 62 |
| 30.00 | 96 |
| 30.63 | 31 |
| 32.33 | 48 |
| 33.38 | 100 |
| 37.01 | 40 |
| 51.82 | 29 |
| 53.98 | 28 |

Record 3
Theoretical XRD peak list
Compound: SnO2
Radiation: Cu Kα (λ = 1.5418 Å)
Structure: a cell relaxed with PBE
Peak positions follow from Bragg's law for the DFT cell and can differ from measured ones.

Crystal structure
```
SnO2
1.0
4.792 0.000 0.000
0.000 5.836 0.000
0.000 0.000 16.125
Sn O
12 24
Cartesian
0.000 0.176 4.031
0.000 5.660 12.094
0.015 2.032 1.356
0.015 3.804 9.419
2.381 0.886 9.419
2.381 4.950 1.356
2.396 2.742 12.094
2.396 3.094 4.031
2.411 0.886 14.769
2.411 4.950 6.707
4.777 2.032 6.707
4.777 3.804 14.769
0.990 2.183 8.537
0.990 3.653 0.474
1.014 0.424 5.839
1.014 5.413 13.902
1.089 1.772 3.140
1.089 4.065 11.203
1.307 1.146 11.203
1.307 4.690 3.140
1.382 2.495 13.902
1.382 3.342 5.839
1.405 0.735 0.474
1.405 5.101 8.537
3.386 0.735 7.589
3.386 5.101 15.651
3.410 2.495 10.286
3.410 3.342 2.223
3.485 1.146 12.985
3.485 4.690 4.922
3.702 1.772 4.922
3.702 4.065 12.985
3.778 0.424 2.223
3.778 5.413 10.286
3.801 2.183 15.651
3.801 3.653 7.589
```

Top 8 peaks for 2θ = 10–90°, low angle first:
| two_theta | intensity |
| --- | --- |
| 24.67 | 52 |
| 26.49 | 100 |
| 29.29 | 60 |
| 32.84 | 50 |
| 33.34 | 37 |
| 50.62 | 41 |
| 51.06 | 41 |
| 52.25 | 40 |

Record 4
Theoretical XRD peak list
Compound: Pm4Tm5Sc
Radiation: Cu Kα (λ = 1.5418 Å)
Structure: a cell relaxed with PBE
Peak positions follow from Bragg's law for the DFT cell and can differ from measured ones.

Crystal structure
```
Pm4Tm5Sc
1.0
8.649 0.000 0.000
0.000 3.550 0.000
-2.720 0.000 10.120
Pm Tm Sc
4 5 1
Cartesian
0.066 0.000 2.992
0.108 0.000 9.123
5.821 0.000 0.997
5.863 0.000 7.128
0.109 1.775 6.059
2.933 1.775 2.050
2.964 0.000 5.060
2.996 1.775 8.070
5.820 1.775 4.061
0.000 1.775 0.000
```

Top 8 peaks for 2θ = 10–90°, low angle first:
| two_theta | intensity |
| --- | --- |
| 31.04 | 100 |
| 35.77 | 34 |
| 36.43 | 16 |
| 51.49 | 12 |
| 51.98 | 23 |
| 61.35 | 29 |
| 62.23 | 14 |
| 64.71 | 12 |

Record 5
Theoretical XRD peak list
Compound: KBe8As6
Radiation: Cu Kα (λ = 1.5418 Å)
Structure: a cell relaxed with PBE
Peak positions follow from Bragg's law for the DFT cell and can differ from measured ones.

Crystal structure
```
KBe8As6
1.0
4.889 2.823 3.329
-4.889 2.823 3.329
0.000 -5.646 3.329
K Be As
1 8 6
Cartesian
0.000 0.000 0.000
-1.415 -1.656 4.275
0.000 0.000 3.287
-2.142 0.397 5.711
-0.727 2.053 4.275
0.727 -2.053 5.711
2.142 -0.397 4.275
0.000 0.000 6.699
1.415 1.656 5.711
-2.165 0.388 3.430
0.747 -2.069 3.430
-1.419 -1.681 6.556
1.419 1.681 3.430
-0.747 2.069 6.556
2.165 -0.388 6.556
```

Top 8 peaks for 2θ = 10–90°, low angle first:
| two_theta | intensity |
| --- | --- |
| 26.78 | 42 |
| 29.30 | 100 |
| 33.25 | 61 |
| 46.11 | 30 |
| 49.31 | 27 |
| 54.13 | 18 |
| 57.00 | 30 |
| 58.40 | 13 |

Record 6
Theoretical XRD peak list
Compound: Ba2PaC2N6
Radiation: Cu Kα (λ = 1.5418 Å)
Structure: a cell relaxed with PBE
Peak positions follow from Bragg's law for the DFT cell and can differ from measured ones.

Crystal structure
```
Ba2PaC2N6
1.0
2.784 1.608 6.082
-2.784 1.608 6.082
0.000 -3.215 6.082
Ba Pa C N
2 1 2 6
Cartesian
0.000 0.000 3.971
0.000 0.000 14.273
0.000 0.000 0.000
0.000 0.000 7.424
0.000 0.000 10.821
0.000 -1.367 7.411
-1.184 0.683 7.411
-1.184 -0.683 10.834
1.184 0.683 7.411
1.184 -0.683 10.833
0.000 1.367 10.833
```

Top 8 peaks for 2θ = 10–90°, low angle first:
| two_theta | intensity |
| --- | --- |
| 19.03 | 73 |
| 26.91 | 72 |
| 30.73 | 100 |
| 32.15 | 86 |
| 42.40 | 35 |
| 45.07 | 28 |
| 56.12 | 34 |
| 56.43 | 30 |

Record 7
Theoretical XRD peak list
Compound: NaCoH5
Radiation: Cu Kα (λ = 1.5418 Å)
Structure: a cell relaxed with PBE
Peak positions follow from Bragg's law for the DFT cell and can differ from measured ones.

Crystal structure
```
NaCoH5
1.0
1.799 -6.119 0.000
1.799 6.119 0.000
0.000 0.000 4.476
Na Co H
2 2 10
Cartesian
1.799 4.213 3.357
1.799 -4.213 1.119
1.799 0.875 3.357
1.799 -0.875 1.119
1.799 5.058 1.119
1.002 0.000 0.000
1.002 0.000 2.238
1.799 2.052 2.434
1.799 2.052 4.280
1.799 -2.052 0.196
1.799 -2.052 2.042
2.596 0.000 0.000
2.596 0.000 2.238
1.799 -5.058 3.357
```

Top 8 peaks for 2θ = 10–90°, low angle first:
| two_theta | intensity |
| --- | --- |
| 14.47 | 79 |
| 24.64 | 34 |
| 25.81 | 70 |
| 32.76 | 89 |
| 35.54 | 96 |
| 38.97 | 100 |
| 40.30 | 38 |
| 63.49 | 31 |

Record 8
Theoretical XRD peak list
Compound: TmMgPd
Radiation: Cu Kα (λ = 1.5418 Å)
Structure: a cell relaxed with PBE
Peak positions follow from Bragg's law for the DFT cell and can differ from measured ones.

Crystal structure
```
TmMgPd
1.0
4.602 0.000 0.000
-2.301 3.985 0.000
0.000 0.000 3.519
Tm Mg Pd
1 1 1
Cartesian
0.000 0.000 0.000
2.301 1.328 1.759
0.000 2.657 1.759
```

Top 8 peaks for 2θ = 10–90°, low angle first:
| two_theta | intensity |
| --- | --- |
| 22.31 | 36 |
| 33.99 | 100 |
| 39.15 | 51 |
| 51.97 | 8 |
| 52.80 | 29 |
| 66.95 | 21 |
| 67.66 | 27 |
| 70.95 | 9 |